[1]
This entry pairs a crystal structure of AcSm3Ge2 with its calculated powder X-ray diffraction pattern. Radiation: Cu Ka. Structure: DFT lattice parameters and positions (PBE).
Lines closer than 0.1° are merged.

Peak list (10 most intense, 2θ = 5–70°, in order of rising 2θ)
two_theta  I (rel.)
28.43  30
29.80  46
30.06  31
30.37  100
31.86  72
33.64  27
35.17  25
37.83  28
39.79  43
52.29  24

Cell and atoms:
```
12
Lattice="8.9514 -2.2652 0.0000 8.9514 2.2652 0.0000 -3.7279 0.0000 8.7536" Properties=species:S:1:pos:R:3 pbc="T T T"
Ac 1.5749 0.0000 1.2156
Ac 12.6000 0.0000 7.5380
Sm -1.6729 0.0000 6.0718
Sm 5.0741 0.0000 1.0379
Sm 4.3342 0.0000 4.5581
Sm 9.8406 0.0000 4.1955
Sm 9.1008 0.0000 7.7157
Sm 15.8477 0.0000 2.6818
Ge 1.5324 0.0000 6.1422
Ge 8.2179 0.0000 1.1903
Ge 5.9570 0.0000 7.5634
Ge 12.6425 0.0000 2.6114
```


[2]
This entry pairs a crystal structure of Ac3SmGe6 with its calculated powder X-ray diffraction pattern. Radiation: Cu Ka. Structure: DFT lattice parameters and positions (PBE).
Lines closer than 0.1° are merged.

Peak list (10 most intense, 2θ = 5–70°, in order of rising 2θ)
two_theta  I (rel.)
16.86  14
26.41  47
28.64  17
30.77  100
33.42  73
34.11  63
43.65  15
44.59  29
49.38  37
52.96  20

Cell and atoms:
```
20
Lattice="6.2347 3.5996 4.0127 -6.2347 3.5996 4.0127 0.0000 -7.1992 4.0127" Properties=species:S:1:pos:R:3 pbc="T T T"
Ac -3.5257 1.0925 5.0159
Ac -2.7090 -2.5071 7.0222
Ac 0.8167 -3.5996 5.0159
Ac -0.8167 3.5996 7.0222
Ac 2.7090 2.5071 5.0159
Ac 3.5257 -1.0925 7.0222
Sm 0.0000 0.0000 0.0000
Sm 0.0000 0.0000 6.0190
Ge -0.4654 -2.3617 1.9569
Ge -1.8125 1.5839 1.9569
Ge -1.8125 -1.5839 4.0622
Ge 2.2780 0.7777 1.9569
Ge -0.4655 2.3617 4.0622
Ge 2.2780 -0.7777 4.0622
Ge -2.2780 0.7777 7.9759
Ge 0.4654 -2.3617 7.9759
Ge -2.2780 -0.7777 10.0812
Ge 1.8125 1.5839 7.9759
Ge 1.8125 -1.5839 10.0812
Ge 0.4655 2.3617 10.0812
```